# 1
For ZnH4C2N4Cl2, the GGA-PBE geometry in the Materials Project gives the simulated powder diffraction line list in this record (Cu Kα (λ = 1.5418 Å)).

Largest 10 diffraction maxima, by angle, 2θ from 10° to 90°:
hkl 2 0 0, 2θ 12.7, intensity 10; hkl 2 0 1, 2θ 17.0, intensity 18; hkl 1 1 1, 2θ 17.6, intensity 100; hkl 0 0 2, 2θ 22.6, intensity 22; hkl 0 1 2, 2θ 25.7, intensity 15; hkl 4 0 1, 2θ 28.0, intensity 26; hkl 3 1 2, 2θ 32.2, intensity 10; hkl 0 2 2, 2θ 33.2, intensity 12; hkl 0 3 0, 2θ 36.3, intensity 11; hkl 5 1 2, 2θ 41.5, intensity 9

Atomic structure:
Cell: 13.942 7.419 7.854 Å, 90.00 90.00 90.00°
Atoms (fractional coordinates):
Zn1 0.074 0.224 0.000
Zn2 0.426 0.224 0.500
Zn3 0.574 0.776 0.000
Zn4 0.926 0.776 0.500
H1 0.074 0.534 0.409
H2 0.198 0.517 0.390
H3 0.203 0.716 0.037
H4 0.250 0.909 0.132
H5 0.250 0.909 0.632
H6 0.297 0.716 0.537
H7 0.302 0.517 0.890
H8 0.426 0.534 0.909
H9 0.574 0.466 0.409
H10 0.698 0.483 0.390
H11 0.703 0.284 0.037
H12 0.750 0.091 0.132
H13 0.750 0.091 0.632
H14 0.797 0.284 0.537
H15 0.802 0.483 0.890
H16 0.926 0.466 0.909
C1 0.077 0.943 0.698
C2 0.151 0.732 0.528
C3 0.349 0.732 0.028
C4 0.423 0.943 0.198
C5 0.577 0.057 0.698
C6 0.651 0.268 0.528
C7 0.849 0.268 0.028
C8 0.923 0.057 0.198
N1 0.070 0.821 0.580
N2 0.079 0.053 0.805
N3 0.140 0.590 0.426
N4 0.238 0.786 0.577
N5 0.262 0.786 0.077
N6 0.360 0.590 0.926
N7 0.421 0.053 0.305
N8 0.430 0.821 0.080
N9 0.570 0.179 0.580
N10 0.579 0.947 0.805
N11 0.640 0.410 0.426
N12 0.738 0.214 0.577
N13 0.762 0.214 0.077
N14 0.860 0.410 0.926
N15 0.921 0.947 0.305
N16 0.930 0.179 0.080
Cl1 0.089 0.512 0.914
Cl2 0.162 0.149 0.227
Cl3 0.338 0.149 0.727
Cl4 0.411 0.512 0.414
Cl5 0.589 0.488 0.914
Cl6 0.662 0.851 0.227
Cl7 0.838 0.851 0.727
Cl8 0.911 0.488 0.414

=====

# 2
For ZnH6C2N2Cl4, the GGA-PBE geometry in the Materials Project gives the simulated powder diffraction line list in this record (Cu Kα (λ = 1.5418 Å)).

Largest 10 diffraction maxima, by angle, 2θ from 10° to 90°:
hkl 0 0 2, 2θ 13.1, intensity 90; hkl 0 2 0, 2θ 13.5, intensity 33; hkl 1 1 0, 2θ 13.6, intensity 58; hkl 1 1 -1, 2θ 14.5, intensity 100; hkl 0 2 1, 2θ 15.0, intensity 91; hkl 1 1 1, 2θ 15.6, intensity 88; hkl 1 3 0, 2θ 23.5, intensity 40; hkl 1 1 3, 2θ 25.0, intensity 43; hkl 0 4 0, 2θ 27.1, intensity 81; hkl 1 0 -4, 2θ 27.6, intensity 34

Atomic structure:
Cell: 7.536 13.145 13.649 Å, 90.00 96.23 90.00°
Atoms (fractional coordinates):
Zn1 0.238 0.086 0.206
Zn2 0.238 0.414 0.706
Zn3 0.762 0.586 0.294
Zn4 0.762 0.914 0.794
H1 0.025 0.621 0.958
H2 0.025 0.879 0.458
H3 0.175 0.123 0.830
H4 0.175 0.377 0.330
H5 0.206 0.094 0.960
H6 0.206 0.406 0.460
H7 0.291 0.643 0.626
H8 0.291 0.857 0.126
H9 0.349 0.038 0.878
H10 0.349 0.462 0.378
H11 0.358 0.174 0.907
H12 0.358 0.326 0.407
H13 0.642 0.674 0.593
H14 0.642 0.826 0.093
H15 0.651 0.538 0.622
H16 0.651 0.962 0.122
H17 0.709 0.143 0.874
H18 0.709 0.357 0.374
H19 0.794 0.594 0.540
H20 0.794 0.906 0.040
H21 0.825 0.623 0.670
H22 0.825 0.877 0.170
H23 0.975 0.121 0.542
H24 0.975 0.379 0.042
C1 0.094 0.134 0.591
C2 0.094 0.366 0.091
C3 0.273 0.107 0.894
C4 0.273 0.393 0.394
C5 0.727 0.607 0.606
C6 0.727 0.893 0.106
C7 0.906 0.634 0.909
C8 0.906 0.866 0.409
N1 0.225 0.149 0.643
N2 0.225 0.351 0.143
N3 0.446 0.562 0.126
N4 0.446 0.938 0.626
N5 0.554 0.062 0.374
N6 0.554 0.438 0.874
N7 0.775 0.649 0.857
N8 0.775 0.851 0.357
Cl1 0.004 0.597 0.404
Cl2 0.004 0.903 0.904
Cl3 0.151 0.112 0.355
Cl4 0.151 0.388 0.855
Cl5 0.286 0.627 0.718
Cl6 0.286 0.873 0.218
Cl7 0.493 0.127 0.151
Cl8 0.493 0.373 0.651
Cl9 0.507 0.627 0.349
Cl10 0.507 0.873 0.849
Cl11 0.714 0.127 0.782
Cl12 0.714 0.373 0.282
Cl13 0.849 0.612 0.145
Cl14 0.849 0.888 0.645
Cl15 0.996 0.097 0.096
Cl16 0.996 0.403 0.596

=====

Copy entry 1 word for word.
For ZnH4C2N4Cl2, the GGA-PBE geometry in the Materials Project gives the simulated powder diffraction line list in this record (Cu Kα (λ = 1.5418 Å)).

Largest 10 diffraction maxima, by angle, 2θ from 10° to 90°:
hkl 2 0 0, 2θ 12.7, intensity 10; hkl 2 0 1, 2θ 17.0, intensity 18; hkl 1 1 1, 2θ 17.6, intensity 100; hkl 0 0 2, 2θ 22.6, intensity 22; hkl 0 1 2, 2θ 25.7, intensity 15; hkl 4 0 1, 2θ 28.0, intensity 26; hkl 3 1 2, 2θ 32.2, intensity 10; hkl 0 2 2, 2θ 33.2, intensity 12; hkl 0 3 0, 2θ 36.3, intensity 11; hkl 5 1 2, 2θ 41.5, intensity 9

Atomic structure:
Cell: 13.942 7.419 7.854 Å, 90.00 90.00 90.00°
Atoms (fractional coordinates):
Zn1 0.074 0.224 0.000
Zn2 0.426 0.224 0.500
Zn3 0.574 0.776 0.000
Zn4 0.926 0.776 0.500
H1 0.074 0.534 0.409
H2 0.198 0.517 0.390
H3 0.203 0.716 0.037
H4 0.250 0.909 0.132
H5 0.250 0.909 0.632
H6 0.297 0.716 0.537
H7 0.302 0.517 0.890
H8 0.426 0.534 0.909
H9 0.574 0.466 0.409
H10 0.698 0.483 0.390
H11 0.703 0.284 0.037
H12 0.750 0.091 0.132
H13 0.750 0.091 0.632
H14 0.797 0.284 0.537
H15 0.802 0.483 0.890
H16 0.926 0.466 0.909
C1 0.077 0.943 0.698
C2 0.151 0.732 0.528
C3 0.349 0.732 0.028
C4 0.423 0.943 0.198
C5 0.577 0.057 0.698
C6 0.651 0.268 0.528
C7 0.849 0.268 0.028
C8 0.923 0.057 0.198
N1 0.070 0.821 0.580
N2 0.079 0.053 0.805
N3 0.140 0.590 0.426
N4 0.238 0.786 0.577
N5 0.262 0.786 0.077
N6 0.360 0.590 0.926
N7 0.421 0.053 0.305
N8 0.430 0.821 0.080
N9 0.570 0.179 0.580
N10 0.579 0.947 0.805
N11 0.640 0.410 0.426
N12 0.738 0.214 0.577
N13 0.762 0.214 0.077
N14 0.860 0.410 0.926
N15 0.921 0.947 0.305
N16 0.930 0.179 0.080
Cl1 0.089 0.512 0.914
Cl2 0.162 0.149 0.227
Cl3 0.338 0.149 0.727
Cl4 0.411 0.512 0.414
Cl5 0.589 0.488 0.914
Cl6 0.662 0.851 0.227
Cl7 0.838 0.851 0.727
Cl8 0.911 0.488 0.414